Starting from DFT lattice parameters and positions (GGA-PBE), the XRD peak list of FeAgTe2 was calculated for Cu Ka.
Lines closer than 0.1° are merged.

Most intense lines, 2θ = 5–70°, in order of rising 2θ:
2θ = 29.1°, d = 3.064 Å, I = 100
2θ = 39.5°, d = 2.279 Å, I = 79
2θ = 43.8°, d = 2.068 Å, I = 57
2θ = 46.1°, d = 1.970 Å, I = 6
2θ = 53.5°, d = 1.714 Å, I = 18
2θ = 60.4°, d = 1.532 Å, I = 22
2θ = 65.4°, d = 1.426 Å, I = 13
2θ = 68.7°, d = 1.366 Å, I = 10

Crystal structure
```
data_FeAgTe2
_chemical_formula_sum 'Fe1 Ag1 Te2'
_space_group_name_H-M_alt 'P -3 m 1'
_space_group_IT_number 164
_space_group_name_Hall '-P 3 2"'
_cell_length_a 4.1367
_cell_length_b 4.1367
_cell_length_c 5.9096
_cell_angle_alpha 90.00
_cell_angle_beta 90.00
_cell_angle_gamma 120.00
loop_
_atom_site_label
_atom_site_fract_x
_atom_site_fract_y
_atom_site_fract_z
_atom_site_occupancy
Fe1 0.0000 0.0000 0.0000 1
Ag1 0.0000 0.0000 0.5000 1
Te1 0.3333 0.6667 0.8026 1
```


Starting from DFT lattice parameters and positions (GGA-PBE), the XRD peak list of GaAg2 was calculated for Cu Ka.
Lines closer than 0.1° are merged.

Most intense lines, 2θ = 5–70°, in order of rising 2θ:
2θ = 34.8°, d = 2.580 Å, I = 12
2θ = 38.3°, d = 2.351 Å, I = 100
2θ = 39.6°, d = 2.275 Å, I = 97
2θ = 40.6°, d = 2.223 Å, I = 20
2θ = 46.9°, d = 1.936 Å, I = 11
2θ = 56.3°, d = 1.635 Å, I = 25
2θ = 63.5°, d = 1.465 Å, I = 9
2θ = 67.9°, d = 1.381 Å, I = 14

Crystal structure
```
data_GaAg2
_chemical_formula_sum 'Ga3 Ag6'
_space_group_name_H-M_alt 'P -6 2 m'
_space_group_IT_number 189
_space_group_name_Hall 'P -6 -2'
_cell_length_a 7.8825
_cell_length_b 7.8825
_cell_length_c 2.9290
_cell_angle_alpha 90.00
_cell_angle_beta 90.00
_cell_angle_gamma 120.00
loop_
_atom_site_label
_atom_site_fract_x
_atom_site_fract_y
_atom_site_fract_z
_atom_site_occupancy
Ga1 0.0000 0.0000 0.0000 1
Ga2 0.3333 0.6667 0.5000 1
Ag1 0.0000 0.3055 0.5000 1
Ag2 0.0000 0.6390 0.0000 1
```


Starting from DFT lattice parameters and positions (GGA-PBE), the XRD peak list of GaAg3 was calculated for Cu Ka.
Lines closer than 0.1° are merged.

Most intense lines, 2θ = 5–70°, in order of rising 2θ:
2θ = 9.5°, d = 9.311 Å, I = 3
2θ = 28.8°, d = 3.104 Å, I = 2
2θ = 35.0°, d = 2.563 Å, I = 25
2θ = 36.4°, d = 2.471 Å, I = 2
2θ = 38.7°, d = 2.328 Å, I = 24
2θ = 40.2°, d = 2.245 Å, I = 100
2θ = 53.2°, d = 1.723 Å, I = 14
2θ = 62.8°, d = 1.480 Å, I = 17

Crystal structure
```
data_GaAg3
_chemical_formula_sum 'Ga1 Ag3'
_space_group_name_H-M_alt 'P -6 m 2'
_space_group_IT_number 187
_space_group_name_Hall 'P -6 2'
_cell_length_a 2.9592
_cell_length_b 2.9592
_cell_length_c 9.3113
_cell_angle_alpha 90.00
_cell_angle_beta 90.00
_cell_angle_gamma 120.00
loop_
_atom_site_label
_atom_site_fract_x
_atom_site_fract_y
_atom_site_fract_z
_atom_site_occupancy
Ga1 0.0000 0.0000 0.0000 1
Ag1 0.0000 0.0000 0.5000 1
Ag2 0.6667 0.3333 0.2421 1
```


Please write out number 2 again, unchanged.
Starting from DFT lattice parameters and positions (GGA-PBE), the XRD peak list of GaAg2 was calculated for Cu Ka.
Lines closer than 0.1° are merged.

Most intense lines, 2θ = 5–70°, in order of rising 2θ:
2θ = 34.8°, d = 2.580 Å, I = 12
2θ = 38.3°, d = 2.351 Å, I = 100
2θ = 39.6°, d = 2.275 Å, I = 97
2θ = 40.6°, d = 2.223 Å, I = 20
2θ = 46.9°, d = 1.936 Å, I = 11
2θ = 56.3°, d = 1.635 Å, I = 25
2θ = 63.5°, d = 1.465 Å, I = 9
2θ = 67.9°, d = 1.381 Å, I = 14

Crystal structure
```
data_GaAg2
_chemical_formula_sum 'Ga3 Ag6'
_space_group_name_H-M_alt 'P -6 2 m'
_space_group_IT_number 189
_space_group_name_Hall 'P -6 -2'
_cell_length_a 7.8825
_cell_length_b 7.8825
_cell_length_c 2.9290
_cell_angle_alpha 90.00
_cell_angle_beta 90.00
_cell_angle_gamma 120.00
loop_
_atom_site_label
_atom_site_fract_x
_atom_site_fract_y
_atom_site_fract_z
_atom_site_occupancy
Ga1 0.0000 0.0000 0.0000 1
Ga2 0.3333 0.6667 0.5000 1
Ag1 0.0000 0.3055 0.5000 1
Ag2 0.0000 0.6390 0.0000 1
```


What is the formula in the first record?
FeAgTe2